[1]
This entry pairs a crystal structure of Rb2MoI6O18 with its computed PXRD pattern. Radiation: copper Kα. Structure: a cell relaxed with GGA+U.

Most intense lines, 10 to 90 degrees two-theta, low angle first:
2θ = 23.09°, intensity 32; 2θ = 24.33°, intensity 60; 2θ = 26.25°, intensity 50; 2θ = 27.32°, intensity 100; 2θ = 32.60°, intensity 51; 2θ = 38.25°, intensity 18; 2θ = 46.99°, intensity 17; 2θ = 47.22°, intensity 21; 2θ = 48.93°, intensity 22; 2θ = 49.84°, intensity 18; 2θ = 56.41°, intensity 21; 2θ = 78.38°, intensity 15

Structure:
a b c (Å): 7.8424 7.8424 7.8424
angles (deg): 97.14 97.14 97.14
Fractional positions:
Rb  0.1687  0.1687  0.1687
Rb  0.8313  0.8313  0.8313
Mo  0.5000  0.5000  0.5000
I  0.1324  0.3317  0.7040
I  0.2960  0.8676  0.6683
I  0.3317  0.7040  0.1324
I  0.6683  0.2960  0.8676
I  0.7040  0.1324  0.3317
I  0.8676  0.6683  0.2960
O  0.0889  0.0966  0.6900
O  0.0959  0.7138  0.6105
O  0.0966  0.6900  0.0889
O  0.2862  0.3895  0.9041
O  0.3048  0.3221  0.5536
O  0.3100  0.9111  0.9034
O  0.3221  0.5536  0.3048
O  0.3895  0.9041  0.2862
O  0.4464  0.6952  0.6779
O  0.5536  0.3048  0.3221
O  0.6105  0.0959  0.7138
O  0.6779  0.4464  0.6952
O  0.6900  0.0889  0.0966
O  0.6952  0.6779  0.4464
O  0.7138  0.6105  0.0959
O  0.9034  0.3100  0.9111
O  0.9041  0.2862  0.3895
O  0.9111  0.9034  0.3100


[2]
This entry pairs a crystal structure of MgTiZn2WO6 with its computed PXRD pattern. Radiation: copper Kα. Structure: a cell relaxed with GGA+U.

Most intense lines, 10 to 90 degrees two-theta, low angle first:
2θ = 17.85°, intensity 100; 2θ = 19.49°, intensity 31; 2θ = 20.37°, intensity 34; 2θ = 26.94°, intensity 33; 2θ = 31.56°, intensity 27; 2θ = 34.74°, intensity 24; 2θ = 35.15°, intensity 49; 2θ = 35.44°, intensity 28; 2θ = 36.14°, intensity 23; 2θ = 37.81°, intensity 49; 2θ = 41.56°, intensity 47; 2θ = 43.65°, intensity 39

Structure:
a b c (Å): 5.2644 5.4758 5.5341
angles (deg): 102.90 104.05 115.99
Fractional positions:
Mg  0.0000  0.0000  0.0000
Ti  0.3477  0.6346  0.0276
Zn  0.5015  0.4517  0.5504
Zn  0.8494  0.1887  0.4661
W  0.1739  0.8168  0.5119
O  0.1261  0.4116  0.2579
O  0.2018  0.2164  0.7598
O  0.3979  0.0476  0.2815
O  0.5501  0.8239  0.7773
O  0.7666  0.7811  0.2444
O  0.9591  0.5986  0.7552


[3]
This entry pairs a crystal structure of FeBiO3 with its computed PXRD pattern. Radiation: copper Kα. Structure: a cell relaxed with GGA+U.

Most intense lines, 10 to 90 degrees two-theta, low angle first:
2θ = 22.12°, intensity 22; 2θ = 22.58°, intensity 20; 2θ = 22.86°, intensity 20; 2θ = 31.80°, intensity 100; 2θ = 32.32°, intensity 98; 2θ = 39.34°, intensity 23; 2θ = 39.73°, intensity 22; 2θ = 45.12°, intensity 18; 2θ = 46.10°, intensity 19; 2θ = 46.70°, intensity 19; 2θ = 57.35°, intensity 26; 2θ = 66.46°, intensity 17

Structure:
a b c (Å): 3.8902 7.8763 4.0195
angles (deg): 90.00 90.82 90.00
Fractional positions:
Fe  0.0061  0.2500  0.0268
Fe  0.9939  0.7500  0.9732
Bi  0.5000  0.0000  0.5000
Bi  0.5000  0.5000  0.5000
O  0.0000  0.0000  0.0000
O  0.0000  0.5000  0.0000
O  0.0238  0.2500  0.5369
O  0.4917  0.7500  0.9016
O  0.5083  0.2500  0.0984
O  0.9762  0.7500  0.4631


[4]
This entry pairs a crystal structure of AlW3O8 with its computed PXRD pattern. Radiation: copper Kα. Structure: a cell relaxed with GGA+U.

Most intense lines, 10 to 90 degrees two-theta, low angle first:
2θ = 19.44°, intensity 29; 2θ = 24.83°, intensity 93; 2θ = 30.08°, intensity 100; 2θ = 30.26°, intensity 51; 2θ = 30.38°, intensity 51; 2θ = 34.22°, intensity 45; 2θ = 36.10°, intensity 33; 2θ = 36.52°, intensity 31; 2θ = 38.63°, intensity 25; 2θ = 52.67°, intensity 37; 2θ = 53.90°, intensity 33; 2θ = 64.69°, intensity 27

Structure:
a b c (Å): 5.2411 5.6132 9.3232
angles (deg): 90.09 90.21 90.76
Fractional positions:
Al  0.2481  0.1653  0.2488
Al  0.7519  0.8347  0.7512
W  0.2433  0.6625  0.0044
W  0.2553  0.6548  0.4985
W  0.2595  0.1378  0.7493
W  0.7405  0.8622  0.2507
W  0.7447  0.3452  0.5015
W  0.7567  0.3375  0.9956
O  0.0732  0.8791  0.6424
O  0.0872  0.8974  0.1414
O  0.0946  0.3745  0.6157
O  0.0962  0.3810  0.1182
O  0.3965  0.3702  0.8840
O  0.4024  0.3855  0.3786
O  0.4163  0.9030  0.3611
O  0.4338  0.8708  0.8572
O  0.5662  0.1292  0.1428
O  0.5837  0.0970  0.6389
O  0.5976  0.6145  0.6214
O  0.6035  0.6298  0.1160
O  0.9038  0.6190  0.8818
O  0.9054  0.6255  0.3843
O  0.9128  0.1026  0.8586
O  0.9268  0.1209  0.3576


[5]
This entry pairs a crystal structure of AlNi2O4 with its computed PXRD pattern. Radiation: copper Kα. Structure: a cell relaxed with GGA+U.

Most intense lines, 10 to 90 degrees two-theta, low angle first:
2θ = 18.73°, intensity 56; 2θ = 30.81°, intensity 8; 2θ = 36.30°, intensity 100; 2θ = 37.98°, intensity 18; 2θ = 44.14°, intensity 55; 2θ = 48.34°, intensity 12; 2θ = 58.43°, intensity 32; 2θ = 64.19°, intensity 54; 2θ = 67.51°, intensity 9; 2θ = 76.04°, intensity 10; 2θ = 77.08°, intensity 9; 2θ = 81.20°, intensity 9

Structure:
a b c (Å): 5.8037 5.8037 5.8037
angles (deg): 60.00 60.00 60.00
Fractional positions:
Al  0.1250  0.1250  0.1250
Al  0.8750  0.8750  0.8750
Ni  0.0000  0.5000  0.5000
Ni  0.5000  0.0000  0.5000
Ni  0.5000  0.5000  0.0000
Ni  0.5000  0.5000  0.5000
O  0.2521  0.2521  0.2521
O  0.2521  0.2521  0.7436
O  0.2521  0.7436  0.2521
O  0.2564  0.7479  0.7479
O  0.7436  0.2521  0.2521
O  0.7479  0.2564  0.7479
O  0.7479  0.7479  0.2564
O  0.7479  0.7479  0.7479


[6]
This entry pairs a crystal structure of Li9Mn2Co5O16 with its computed PXRD pattern. Radiation: copper Kα. Structure: a cell relaxed with GGA+U.

Most intense lines, 10 to 90 degrees two-theta, low angle first:
2θ = 18.30°, intensity 100; 2θ = 35.06°, intensity 16; 2θ = 36.31°, intensity 13; 2θ = 36.53°, intensity 12; 2θ = 42.15°, intensity 30; 2θ = 44.09°, intensity 26; 2θ = 44.33°, intensity 25; 2θ = 62.54°, intensity 15; 2θ = 62.73°, intensity 7; 2θ = 63.12°, intensity 7; 2θ = 63.69°, intensity 7; 2θ = 64.92°, intensity 7

Structure:
a b c (Å): 5.0391 5.1053 11.7977
angles (deg): 91.15 92.07 108.20
Fractional positions:
Li  0.0000  0.0000  0.0000
Li  0.0003  0.0037  0.5069
Li  0.0147  0.0075  0.7454
Li  0.4986  0.0037  0.3873
Li  0.4988  0.9993  0.8720
Li  0.4996  0.4978  0.5040
Li  0.5042  0.9922  0.6254
Li  0.5053  0.0037  0.1338
Li  0.9855  0.9865  0.2667
Mn  0.9998  0.5025  0.1336
Mn  0.5043  0.5031  0.0026
Co  0.9999  0.4961  0.3844
Co  0.0098  0.5023  0.8757
Co  0.4960  0.4964  0.2634
Co  0.5001  0.4982  0.7433
Co  0.9966  0.5117  0.6263
O  0.2180  0.7260  0.4979
O  0.2253  0.2733  0.3731
O  0.2397  0.7218  0.2580
O  0.2534  0.7419  0.7538
O  0.2554  0.2734  0.8861
O  0.2592  0.7298  0.9950
O  0.2614  0.2658  0.6363
O  0.2745  0.2931  0.1252
O  0.7365  0.7059  0.8849
O  0.7429  0.2738  0.2655
O  0.7461  0.2719  0.0141
O  0.7495  0.7159  0.3718
O  0.7522  0.7377  0.1221
O  0.7534  0.7364  0.6348
O  0.7742  0.2700  0.7623
O  0.7828  0.2756  0.4975


[7]
This entry pairs a crystal structure of Mg6MnCdO8 with its computed PXRD pattern. Radiation: copper Kα. Structure: a cell relaxed with GGA+U.

Most intense lines, 10 to 90 degrees two-theta, low angle first:
2θ = 10.09°, intensity 19; 2θ = 20.22°, intensity 66; 2θ = 22.63°, intensity 14; 2θ = 28.75°, intensity 56; 2θ = 35.40°, intensity 55; 2θ = 41.06°, intensity 100; 2θ = 41.19°, intensity 49; 2θ = 46.18°, intensity 19; 2θ = 50.93°, intensity 21; 2θ = 59.53°, intensity 87; 2θ = 71.14°, intensity 17; 2θ = 74.89°, intensity 27

Structure:
a b c (Å): 4.3965 4.3965 8.7671
angles (deg): 90.00 90.00 90.00
Fractional positions:
Mg  0.0000  0.0000  0.0000
Mg  0.0000  0.0000  0.5000
Mg  0.0000  0.5000  0.2461
Mg  0.0000  0.5000  0.7539
Mg  0.5000  0.0000  0.2461
Mg  0.5000  0.0000  0.7539
Mn  0.5000  0.5000  0.0000
Cd  0.5000  0.5000  0.5000
O  0.0000  0.0000  0.2500
O  0.0000  0.0000  0.7500
O  0.0000  0.5000  0.0000
O  0.0000  0.5000  0.5000
O  0.5000  0.0000  0.0000
O  0.5000  0.0000  0.5000
O  0.5000  0.5000  0.2402
O  0.5000  0.5000  0.7598